This entry pairs a crystal structure of Th2Ni3Ge4Os with its theoretical powder X-ray diffraction pattern. Radiation: CuKα. Structure: the GGA-PBE geometry in Alexandria.
Kinematic intensities with the Lorentz-polarization factor, no thermal factor.

Principal peaks in the range 2θ from 10° to 80°, by angle:
| h k l | d [Å] | Position (°2θ) | I/Imax |
| --- | --- | --- | --- |
| 1 0 1 | 3.852 | 23.1 | 28 |
| 1 0 3 | 2.585 | 34.7 | 57 |
| 1 1 2 | 2.537 | 35.4 | 100 |
| 2 0 0 | 2.092 | 43.2 | 49 |
| 1 0 5 | 1.784 | 51.2 | 21 |
| 2 1 3 | 1.626 | 56.6 | 28 |
| 2 2 0 | 1.479 | 62.8 | 16 |
| 1 1 6 | 1.437 | 64.9 | 15 |
| 2 1 5 | 1.358 | 69.2 | 17 |
| 3 1 2 | 1.278 | 74.2 | 24 |

```
data_Th2Ni3Ge4Os
_space_group_name_H-M_alt 'P -4 m 2'
_space_group_IT_number 115
_space_group_name_Hall 'P -4 -2'
_cell_length_a 4.184
_cell_length_b 4.184
_cell_length_c 9.864
_cell_angle_alpha 90.00
_cell_angle_beta 90.00
_cell_angle_gamma 90.00
loop_
_atom_site_label
_atom_site_fract_x
_atom_site_fract_y
_atom_site_fract_z
_atom_site_occupancy
Th1 0.000 0.500 0.249 1
Ni1 0.000 0.500 0.879 1
Ni2 0.500 0.500 0.500 1
Ge1 0.000 0.000 0.000 1
Ge2 0.000 0.500 0.637 1
Ge3 0.500 0.500 0.000 1
Os1 0.000 0.000 0.500 1
```